Li10Co3Ni7O20: computed PXRD pattern (Cu Kα, 1.54184 Å), based on a cell relaxed with GGA+U.
Intensities are scaled so that the largest is 100.

Top 8 peaks for 10° ≤ 2θ ≤ 80°, by angle:
2θ (°)	d [Å]	I_rel
18.66	4.755	100
35.59	2.523	16
36.66	2.451	27
43.14	2.097	25
44.56	2.034	47
48.26	1.886	14
63.63	1.462	13
63.88	1.457	13

Cell and atoms:
a b c (Å): 22.656 2.856 11.585
angles (deg): 90.00 112.26 90.00
Space group C2/m (No. 12)
Asymmetric unit:
Li1 0.001 0.000 0.248
Li2 0.101 0.500 0.454
Li3 0.102 0.500 0.948
Li4 0.200 0.000 0.149
Li5 0.201 0.000 0.650
Co1 0.000 0.000 0.500
Co2 0.100 0.500 0.200
Ni1 0.000 0.000 0.000
Ni2 0.097 0.500 0.702
Ni3 0.199 0.000 0.899
Ni4 0.200 0.000 0.402
O1 0.002 0.500 0.392
O2 0.010 0.500 0.127
O3 0.090 0.000 0.577
O4 0.098 0.000 0.818
O5 0.099 0.000 0.309
O6 0.100 0.000 0.089
O7 0.189 0.500 0.273
O8 0.199 0.500 0.786
O9 0.200 0.500 0.011
O10 0.200 0.500 0.523